(1)
Starting from the PBE geometry in Alexandria, the XRD peak list of La2CeNdSm2 was computed for λ = 1.5418 Å (Cu Kα).

Atomic structure:
abc: 6.6643 18.3140 3.4484
angles: 90.00 90.00 90.00
Fractional coordinates of all 12 atoms:
1 La 0.2079 0.1852 0.0000
2 La 0.2921 0.6852 0.5000
3 La 0.7079 0.3148 0.5000
4 La 0.7921 0.8148 0.0000
5 Ce 0.0000 0.5000 0.0000
6 Ce 0.5000 0.0000 0.5000
7 Nd 0.0000 0.0000 0.0000
8 Nd 0.5000 0.5000 0.5000
9 Sm 0.1996 0.3562 0.5000
10 Sm 0.3004 0.8562 0.0000
11 Sm 0.6996 0.1438 0.0000
12 Sm 0.8004 0.6438 0.5000

Peak list (10 most intense, 15° ≤ 2θ ≤ 90°, sorted by position)
Position (°2θ)  Rel. int.
26.3  43.4
28.5  100.0
29.3  87.6
29.8  97.3
30.8  42.7
32.3  42.7
33.3  69.5
35.3  59.4
40.4  61.6
54.1  39.6



(2)
Starting from the PBE geometry in Alexandria, the XRD peak list of LaTbCeNd2 was computed for λ = 1.5418 Å (Cu Kα).

Atomic structure:
abc: 8.5977 6.3711 6.2845
angles: 90.00 93.93 90.00
Fractional coordinates of all 10 atoms:
1 La 0.0000 0.0000 0.0000
2 La 0.0000 0.0000 0.5000
3 Tb 0.5000 0.1725 0.2500
4 Tb 0.5000 0.8275 0.7500
5 Ce 0.0000 0.4582 0.2500
6 Ce 0.0000 0.5418 0.7500
7 Nd 0.3083 0.3113 0.7293
8 Nd 0.3083 0.6887 0.2293
9 Nd 0.6917 0.3113 0.7707
10 Nd 0.6917 0.6887 0.2707

Peak list (10 most intense, 15° ≤ 2θ ≤ 90°, sorted by position)
Position (°2θ)  Rel. int.
28.1  66.4
28.5  50.9
29.6  100.0
29.9  82.0
31.8  36.2
32.9  60.3
34.2  36.4
35.1  31.7
36.5  34.6
43.7  33.5



(3)
Starting from the PBE geometry in Alexandria, the XRD peak list of La2CeNd3Te6 was computed for λ = 1.5418 Å (Cu Kα).

Atomic structure:
abc: 10.1067 10.1067 9.0893
angles: 102.74 102.74 25.80
Fractional coordinates of all 12 atoms:
1 La 0.1657 0.1657 0.3323
2 La 0.8343 0.8343 0.6677
3 Ce 0.5000 0.5000 0.0000
4 Nd 0.1684 0.1684 0.8353
5 Nd 0.5000 0.5000 0.5000
6 Nd 0.8316 0.8316 0.1647
7 Te 0.0022 0.0022 0.7512
8 Te 0.3340 0.3340 0.4135
9 Te 0.3343 0.3343 0.9200
10 Te 0.6657 0.6657 0.0800
11 Te 0.6660 0.6660 0.5865
12 Te 0.9978 0.9978 0.2488

Peak list (10 most intense, 15° ≤ 2θ ≤ 90°, sorted by position)
Position (°2θ)  Rel. int.
27.9  100.0
39.7  12.9
39.8  25.6
39.9  38.0
49.1  7.0
49.4  13.7
57.6  12.9
65.1  11.8
65.3  17.6
72.4  10.7